1.
Computed X-ray diffraction stick pattern
Compound: Tb8CeHo6
Radiation: CuKα
Structure: DFT lattice parameters and positions (PBE)
Neutral-atom scattering factors, no anomalous dispersion.

Atomic structure:
```
Tb8CeHo6
1.0
4.4910 2.5929 6.8505
-4.4910 2.5929 6.8505
0.0000 -5.1857 6.8505
Tb Ce Ho
8 1 6
direct
0.0773 0.0773 0.0773
0.2175 0.6126 0.2522
0.2522 0.2175 0.6126
0.3874 0.7478 0.7825
0.6127 0.2522 0.2175
0.7478 0.7825 0.3873
0.7825 0.3873 0.7478
0.9227 0.9227 0.9227
0.5000 0.5000 0.5000
0.0387 0.6033 0.7351
0.2649 0.9613 0.3967
0.3967 0.2649 0.9613
0.6033 0.7351 0.0387
0.7351 0.0387 0.6033
0.9613 0.3967 0.2649
```

Peak list (6 most intense, 5° ≤ 2θ ≤ 70°, in order of rising 2θ)
2θ = 30.72°, rel. 25
2θ = 31.66°, rel. 100
2θ = 32.60°, rel. 30
2θ = 35.17°, rel. 11
2θ = 37.07°, rel. 15
2θ = 53.47°, rel. 12

=====

2.
Computed X-ray diffraction stick pattern
Compound: Tb4CeHo5
Radiation: CuKα
Structure: DFT lattice parameters and positions (PBE)
Neutral-atom scattering factors, no anomalous dispersion.

Atomic structure:
```
Tb4CeHo5
1.0
10.8129 -1.8265 0.0000
10.8129 1.8265 0.0000
-1.0212 0.0000 8.1014
Tb Ce Ho
4 1 5
direct
0.1118 0.1118 0.3323
0.3136 0.3136 0.9463
0.6864 0.6864 0.0537
0.8882 0.8882 0.6677
0.5000 0.5000 0.0000
0.0960 0.0960 0.7578
0.2828 0.2828 0.3586
0.5000 0.5000 0.5000
0.7172 0.7172 0.6414
0.9040 0.9040 0.2422
```

Peak list (6 most intense, 5° ≤ 2θ ≤ 70°, in order of rising 2θ)
2θ = 29.24°, rel. 41
2θ = 31.23°, rel. 60
2θ = 32.18°, rel. 100
2θ = 32.93°, rel. 91
2θ = 55.69°, rel. 20
2θ = 60.07°, rel. 21

=====

3.
Computed X-ray diffraction stick pattern
Compound: Tb5Ce2Ho4
Radiation: CuKα
Structure: DFT lattice parameters and positions (PBE)
Neutral-atom scattering factors, no anomalous dispersion.

Atomic structure:
```
Tb5Ce2Ho4
1.0
11.6358 -1.7826 0.0000
11.6358 1.7826 0.0000
-3.2501 0.0000 8.3944
Tb Ce Ho
5 2 4
direct
0.0000 0.0000 0.0000
0.3625 0.3625 0.8072
0.3913 0.3913 0.2019
0.6087 0.6087 0.7981
0.6375 0.6375 0.1928
0.2399 0.2399 0.1054
0.7601 0.7601 0.8946
0.1860 0.1860 0.5466
0.4541 0.4541 0.6124
0.5459 0.5459 0.3876
0.8140 0.8140 0.4534
```

Peak list (6 most intense, 5° ≤ 2θ ≤ 70°, in order of rising 2θ)
2θ = 30.20°, rel. 74
2θ = 30.76°, rel. 92
2θ = 31.30°, rel. 80
2θ = 31.49°, rel. 66
2θ = 32.22°, rel. 100
2θ = 32.50°, rel. 65

=====

4.
Computed X-ray diffraction stick pattern
Compound: Tb10CeHo4
Radiation: CuKα
Structure: DFT lattice parameters and positions (PBE)
Neutral-atom scattering factors, no anomalous dispersion.

Atomic structure:
```
Tb10CeHo4
1.0
-4.8215 4.8215 5.2815
4.8215 -4.8215 5.2815
4.8215 4.8215 -5.2815
Tb Ce Ho
10 1 4
direct
0.0424 0.9439 0.6718
0.0561 0.7279 0.0985
0.2500 0.7500 0.5000
0.2721 0.3707 0.3282
0.3707 0.0424 0.0985
0.6293 0.9576 0.9015
0.7279 0.6293 0.6718
0.7500 0.2500 0.5000
0.9439 0.2721 0.9015
0.9576 0.0561 0.3282
0.5000 0.5000 0.0000
0.1666 0.5651 0.7317
0.4349 0.1666 0.6014
0.5651 0.8334 0.3986
0.8334 0.4349 0.2683
```

Peak list (6 most intense, 5° ≤ 2θ ≤ 70°, in order of rising 2θ)
2θ = 26.96°, rel. 74
2θ = 29.04°, rel. 77
2θ = 29.29°, rel. 100
2θ = 32.84°, rel. 93
2θ = 33.95°, rel. 77
2θ = 34.60°, rel. 46

=====

5.
Computed X-ray diffraction stick pattern
Compound: Tb6CeHo3
Radiation: CuKα
Structure: DFT lattice parameters and positions (PBE)
Neutral-atom scattering factors, no anomalous dispersion.

Atomic structure:
```
Tb6CeHo3
1.0
7.0216 -3.2332 0.0000
7.0216 3.2332 0.0000
-4.8680 0.0000 7.4209
Tb Ce Ho
6 1 3
direct
0.0124 0.4942 0.8266
0.2093 0.2093 0.4501
0.4942 0.0124 0.8266
0.5058 0.9876 0.1734
0.7907 0.7907 0.5499
0.9876 0.5058 0.1734
0.0000 0.0000 0.0000
0.0000 0.0000 0.5000
0.4935 0.4935 0.7747
0.5065 0.5065 0.2253
```

Peak list (6 most intense, 5° ≤ 2θ ≤ 70°, in order of rising 2θ)
2θ = 26.18°, rel. 40
2θ = 30.45°, rel. 80
2θ = 30.63°, rel. 51
2θ = 31.59°, rel. 69
2θ = 32.11°, rel. 100
2θ = 34.98°, rel. 32

=====

6.
Computed X-ray diffraction stick pattern
Compound: TbCeHo2Tm4
Radiation: CuKα
Structure: DFT lattice parameters and positions (PBE)
Neutral-atom scattering factors, no anomalous dispersion.

Atomic structure:
```
TbCeHo2Tm4
1.0
4.9746 0.0000 0.0000
0.0000 4.9746 0.0000
0.0000 0.0000 9.8763
Tb Ce Ho Tm
1 1 2 4
direct
0.0000 0.0000 0.0000
0.5000 0.5000 0.5000
0.0000 0.0000 0.5000
0.5000 0.5000 0.0000
0.0000 0.5000 0.2513
0.0000 0.5000 0.7487
0.5000 0.0000 0.2513
0.5000 0.0000 0.7487
```

Peak list (6 most intense, 5° ≤ 2θ ≤ 70°, in order of rising 2θ)
2θ = 31.22°, rel. 100
2θ = 36.11°, rel. 34
2θ = 36.39°, rel. 17
2θ = 52.20°, rel. 24
2θ = 61.91°, rel. 29
2θ = 62.27°, rel. 14